Diffraction record for SrAs2O8. The X-ray diffraction stick pattern is simulated, not measured: it uses a DFT-relaxed cell (GGA-PBE, the Materials Project) and Cu Kα.
Neutral-atom scattering factors, no anomalous dispersion.

```
SrAs2O8
1.0
6.5132 0.0000 0.0000
-1.1677 7.5388 0.0000
-2.8534 -3.4916 6.6771
Sr As O
2 4 16
Direct
0.2279 0.1119 0.4071 Sr
0.7721 0.8881 0.5929 Sr
0.1468 0.5502 0.3050 As
0.4169 0.1733 0.9276 As
0.5831 0.8267 0.0724 As
0.8532 0.4498 0.6950 As
0.0194 0.5906 0.4849 O
0.0765 0.5184 0.9493 O
0.1968 0.1200 0.7074 O
0.2498 0.9875 0.9681 O
0.2529 0.3648 0.2978 O
0.3232 0.7834 0.3932 O
0.4036 0.9813 0.1497 O
0.4188 0.6111 0.8736 O
0.5812 0.3889 0.1264 O
0.5964 0.0187 0.8503 O
0.6768 0.2166 0.6068 O
0.7471 0.6352 0.7022 O
0.7502 0.0125 0.0319 O
0.8032 0.8800 0.2926 O
0.9235 0.4816 0.0507 O
0.9806 0.4094 0.5151 O
```

Top 10 peaks for 2θ from 5° to 70°, by intensity:
27.70 deg, I 1000, hkl 2 0 -1; 24.08 deg, I 877, hkl 1 0 -2; 26.07 deg, I 875, hkl 1 -2 0; 24.55 deg, I 673, hkl 1 0 1; 23.50 deg, I 527, hkl 1 1 0; 42.00 deg, I 341, hkl 2 2 -3; 29.85 deg, I 333, hkl 1 2 -1; 45.59 deg, I 240, hkl -3 2 1; 37.03 deg, I 232, hkl 2 -2 1; 40.51 deg, I 214, hkl 0 3 0